[1]
Pa3Si2Ru3: simulated powder XRD pattern (Cu Ka), based on DFT lattice parameters and positions (GGA-PBE).

Cell and atoms:
```
data_Pa3Si2Ru3
_symmetry_space_group_name_H-M 'P 1'
_symmetry_Int_Tables_number 1
_symmetry_space_group_name_Hall 'P 1'
_cell_length_a 7.562
_cell_length_b 14.422
_cell_length_c 5.524
_cell_angle_alpha 90.00
_cell_angle_beta 90.00
_cell_angle_gamma 90.00
loop_
_atom_site_label
_atom_site_type_symbol
_atom_site_fract_x
_atom_site_fract_y
_atom_site_fract_z
Pa1 Pa 0.029 0.107 0.139
Pa2 Pa 0.029 0.393 0.139
Pa3 Pa 0.172 0.250 0.626
Pa4 Pa 0.328 0.750 0.126
Pa5 Pa 0.471 0.607 0.639
Pa6 Pa 0.471 0.893 0.639
Pa7 Pa 0.529 0.107 0.361
Pa8 Pa 0.529 0.393 0.361
Pa9 Pa 0.672 0.250 0.874
Pa10 Pa 0.828 0.750 0.374
Pa11 Pa 0.971 0.607 0.861
Pa12 Pa 0.971 0.893 0.861
Si1 Si 0.112 0.609 0.355
Si2 Si 0.112 0.891 0.355
Si3 Si 0.388 0.109 0.855
Si4 Si 0.388 0.391 0.855
Si5 Si 0.612 0.609 0.145
Si6 Si 0.612 0.891 0.145
Si7 Si 0.888 0.109 0.645
Si8 Si 0.888 0.391 0.645
Ru1 Ru 0.172 0.031 0.601
Ru2 Ru 0.172 0.469 0.601
Ru3 Ru 0.202 0.750 0.630
Ru4 Ru 0.298 0.250 0.130
Ru5 Ru 0.328 0.531 0.101
Ru6 Ru 0.328 0.969 0.101
Ru7 Ru 0.672 0.031 0.899
Ru8 Ru 0.672 0.469 0.899
Ru9 Ru 0.702 0.750 0.870
Ru10 Ru 0.798 0.250 0.370
Ru11 Ru 0.828 0.531 0.399
Ru12 Ru 0.828 0.969 0.399
```

Main lines, by angle (5 to 70 degrees two-theta):
2theta	I_rel
24.55	41
29.29	36
31.92	77
34.26	38
34.37	100
34.57	57
35.14	75
38.14	52
39.29	73
39.47	50

***

[2]
PaSi2Ru3: simulated powder XRD pattern (Cu Ka), based on DFT lattice parameters and positions (GGA-PBE).

Cell and atoms:
```
data_PaSi2Ru3
_symmetry_space_group_name_H-M 'P 1'
_symmetry_Int_Tables_number 1
_symmetry_space_group_name_Hall 'P 1'
_cell_length_a 8.389
_cell_length_b 8.389
_cell_length_c 9.518
_cell_angle_alpha 109.53
_cell_angle_beta 109.53
_cell_angle_gamma 27.36
loop_
_atom_site_label
_atom_site_type_symbol
_atom_site_fract_x
_atom_site_fract_y
_atom_site_fract_z
Pa1 Pa 0.000 0.000 0.000
Pa2 Pa 0.158 0.158 0.697
Pa3 Pa 0.842 0.842 0.303
Si1 Si 0.196 0.196 0.122
Si2 Si 0.362 0.362 0.556
Si3 Si 0.462 0.462 0.224
Si4 Si 0.538 0.538 0.776
Si5 Si 0.638 0.638 0.444
Si6 Si 0.804 0.804 0.878
Ru1 Ru 0.044 0.044 0.331
Ru2 Ru 0.217 0.217 0.386
Ru3 Ru 0.320 0.320 0.044
Ru4 Ru 0.386 0.386 0.821
Ru5 Ru 0.500 0.500 0.500
Ru6 Ru 0.614 0.614 0.179
Ru7 Ru 0.680 0.680 0.956
Ru8 Ru 0.783 0.783 0.614
Ru9 Ru 0.956 0.956 0.669
```

Main lines, by angle (5 to 70 degrees two-theta):
2theta	I_rel
28.13	20
30.00	19
32.22	53
35.18	19
35.64	39
36.54	100
37.06	27
38.42	18
45.73	42
65.16	21

***

[3]
Pa2Si9Ru3: simulated powder XRD pattern (Cu Ka), based on DFT lattice parameters and positions (GGA-PBE).

Cell and atoms:
```
data_Pa2Si9Ru3
_symmetry_space_group_name_H-M 'P 1'
_symmetry_Int_Tables_number 1
_symmetry_space_group_name_Hall 'P 1'
_cell_length_a 7.297
_cell_length_b 7.297
_cell_length_c 10.115
_cell_angle_alpha 109.13
_cell_angle_beta 109.13
_cell_angle_gamma 61.16
loop_
_atom_site_label
_atom_site_type_symbol
_atom_site_fract_x
_atom_site_fract_y
_atom_site_fract_z
Pa1 Pa 0.092 0.248 0.248
Pa2 Pa 0.248 0.092 0.748
Pa3 Pa 0.752 0.908 0.252
Pa4 Pa 0.908 0.752 0.752
Si1 Si 0.020 0.861 0.066
Si2 Si 0.139 0.980 0.434
Si3 Si 0.179 0.357 0.562
Si4 Si 0.212 0.591 0.250
Si5 Si 0.317 0.473 0.932
Si6 Si 0.357 0.179 0.062
Si7 Si 0.380 0.620 0.750
Si8 Si 0.409 0.788 0.250
Si9 Si 0.473 0.317 0.432
Si10 Si 0.527 0.683 0.568
Si11 Si 0.591 0.212 0.750
Si12 Si 0.620 0.380 0.250
Si13 Si 0.643 0.821 0.938
Si14 Si 0.683 0.527 0.068
Si15 Si 0.788 0.409 0.750
Si16 Si 0.821 0.643 0.438
Si17 Si 0.861 0.020 0.566
Si18 Si 0.980 0.139 0.934
Ru1 Ru 0.000 0.500 0.000
Ru2 Ru 0.185 0.662 0.508
Ru3 Ru 0.338 0.815 0.992
Ru4 Ru 0.500 0.000 0.500
Ru5 Ru 0.662 0.185 0.008
Ru6 Ru 0.815 0.338 0.492
```

Main lines, by angle (5 to 70 degrees two-theta):
2theta	I_rel
25.96	65
26.51	48
30.61	51
30.75	62
31.58	48
37.36	50
37.68	47
38.54	99
42.43	100
43.23	47

***

[4]
PaTiSi2Ru: simulated powder XRD pattern (Cu Ka), based on DFT lattice parameters and positions (GGA-PBE).

Cell and atoms:
```
data_PaTiSi2Ru
_symmetry_space_group_name_H-M 'P 1'
_symmetry_Int_Tables_number 1
_symmetry_space_group_name_Hall 'P 1'
_cell_length_a 6.100
_cell_length_b 6.100
_cell_length_c 6.100
_cell_angle_alpha 141.89
_cell_angle_beta 141.89
_cell_angle_gamma 54.99
loop_
_atom_site_label
_atom_site_type_symbol
_atom_site_fract_x
_atom_site_fract_y
_atom_site_fract_z
Pa1 Pa 0.000 0.000 0.000
Ti1 Ti 0.250 0.750 0.500
Si1 Si 0.391 0.391 0.000
Si2 Si 0.609 0.609 0.000
Ru1 Ru 0.750 0.250 0.500
```

Main lines, by angle (5 to 70 degrees two-theta):
2theta	I_rel
23.80	66
33.11	22
33.51	53
35.95	100
45.55	32
47.83	24
52.03	17
57.46	18
57.72	23
68.18	17

***

[5]
Sm3PaRu4: simulated powder XRD pattern (Cu Ka), based on DFT lattice parameters and positions (GGA-PBE).

Cell and atoms:
```
data_Sm3PaRu4
_symmetry_space_group_name_H-M 'P 1'
_symmetry_Int_Tables_number 1
_symmetry_space_group_name_Hall 'P 1'
_cell_length_a 7.771
_cell_length_b 7.771
_cell_length_c 4.889
_cell_angle_alpha 108.25
_cell_angle_beta 108.25
_cell_angle_gamma 36.67
loop_
_atom_site_label
_atom_site_type_symbol
_atom_site_fract_x
_atom_site_fract_y
_atom_site_fract_z
Sm1 Sm 0.000 0.000 0.000
Sm2 Sm 0.249 0.249 0.249
Sm3 Sm 0.751 0.751 0.751
Pa1 Pa 0.500 0.500 0.500
Ru1 Ru 0.114 0.114 0.614
Ru2 Ru 0.386 0.386 0.886
Ru3 Ru 0.614 0.614 0.114
Ru4 Ru 0.886 0.886 0.386
```

Main lines, by angle (5 to 70 degrees two-theta):
2theta	I_rel
12.71	5
25.59	4
25.77	7
36.63	100
36.76	51
52.57	8
52.97	18
65.85	12
65.92	4
66.13	35

***

[6]
SmPaRu3: simulated powder XRD pattern (Cu Ka), based on DFT lattice parameters and positions (GGA-PBE).

Cell and atoms:
```
data_SmPaRu3
_symmetry_space_group_name_H-M 'P 1'
_symmetry_Int_Tables_number 1
_symmetry_space_group_name_Hall 'P 1'
_cell_length_a 6.545
_cell_length_b 6.545
_cell_length_c 6.545
_cell_angle_alpha 126.61
_cell_angle_beta 109.27
_cell_angle_gamma 94.22
loop_
_atom_site_label
_atom_site_type_symbol
_atom_site_fract_x
_atom_site_fract_y
_atom_site_fract_z
Sm1 Sm 0.258 0.008 0.250
Sm2 Sm 0.742 0.992 0.750
Pa1 Pa 0.000 0.500 0.500
Pa2 Pa 0.500 0.500 0.000
Ru1 Ru 0.057 0.307 0.750
Ru2 Ru 0.308 0.000 0.808
Ru3 Ru 0.308 0.500 0.308
Ru4 Ru 0.692 0.000 0.192
Ru5 Ru 0.692 0.500 0.692
Ru6 Ru 0.943 0.693 0.250
```

Main lines, by angle (5 to 70 degrees two-theta):
2theta	I_rel
18.08	18
29.80	100
34.23	16
36.62	64
37.00	18
40.50	34
41.58	77
43.97	31
53.65	20
61.77	24

***

[7]
PaSn2Ru3: simulated powder XRD pattern (Cu Ka), based on DFT lattice parameters and positions (GGA-PBE).

Cell and atoms:
```
data_PaSn2Ru3
_symmetry_space_group_name_H-M 'P 1'
_symmetry_Int_Tables_number 1
_symmetry_space_group_name_Hall 'P 1'
_cell_length_a 4.708
_cell_length_b 4.708
_cell_length_c 5.679
_cell_angle_alpha 90.00
_cell_angle_beta 90.00
_cell_angle_gamma 120.00
loop_
_atom_site_label
_atom_site_type_symbol
_atom_site_fract_x
_atom_site_fract_y
_atom_site_fract_z
Pa1 Pa 0.000 0.000 0.000
Sn1 Sn 0.333 0.667 0.667
Sn2 Sn 0.667 0.333 0.333
Ru1 Ru 0.000 0.000 0.500
Ru2 Ru 0.333 0.667 0.176
Ru3 Ru 0.667 0.333 0.824
```

Main lines, by angle (5 to 70 degrees two-theta):
2theta	I_rel
15.60	4
21.80	7
26.92	15
38.23	100
38.64	99
47.38	4
55.49	35
62.44	3
69.12	18
69.39	36

***

[8]
Pa2TaRu9: simulated powder XRD pattern (Cu Ka), based on DFT lattice parameters and positions (GGA-PBE).

Cell and atoms:
```
data_Pa2TaRu9
_symmetry_space_group_name_H-M 'P 1'
_symmetry_Int_Tables_number 1
_symmetry_space_group_name_Hall 'P 1'
_cell_length_a 4.007
_cell_length_b 4.007
_cell_length_c 11.939
_cell_angle_alpha 90.00
_cell_angle_beta 90.00
_cell_angle_gamma 90.00
loop_
_atom_site_label
_atom_site_type_symbol
_atom_site_fract_x
_atom_site_fract_y
_atom_site_fract_z
Pa1 Pa 0.000 0.000 0.170
Pa2 Pa 0.000 0.000 0.830
Ta1 Ta 0.000 0.000 0.500
Ru1 Ru 0.000 0.500 0.000
Ru2 Ru 0.000 0.500 0.345
Ru3 Ru 0.000 0.500 0.655
Ru4 Ru 0.500 0.000 0.000
Ru5 Ru 0.500 0.000 0.345
Ru6 Ru 0.500 0.000 0.655
Ru7 Ru 0.500 0.500 0.172
Ru8 Ru 0.500 0.500 0.500
Ru9 Ru 0.500 0.500 0.828
```

Main lines, by angle (5 to 70 degrees two-theta):
2theta	I_rel
22.19	9
22.34	4
31.58	4
31.69	7
39.02	100
45.26	33
45.59	15
51.00	4
65.94	11
66.19	20

***

[9]
Tb2Pa2Ru3: simulated powder XRD pattern (Cu Ka), based on DFT lattice parameters and positions (GGA-PBE).

Cell and atoms:
```
data_Tb2Pa2Ru3
_symmetry_space_group_name_H-M 'P 1'
_symmetry_Int_Tables_number 1
_symmetry_space_group_name_Hall 'P 1'
_cell_length_a 5.933
_cell_length_b 10.155
_cell_length_c 5.258
_cell_angle_alpha 90.00
_cell_angle_beta 93.26
_cell_angle_gamma 90.00
loop_
_atom_site_label
_atom_site_type_symbol
_atom_site_fract_x
_atom_site_fract_y
_atom_site_fract_z
Tb1 Tb 0.133 0.145 0.052
Tb2 Tb 0.133 0.355 0.552
Tb3 Tb 0.867 0.645 0.448
Tb4 Tb 0.867 0.855 0.948
Pa1 Pa 0.365 0.633 0.875
Pa2 Pa 0.365 0.867 0.375
Pa3 Pa 0.635 0.133 0.625
Pa4 Pa 0.635 0.367 0.125
Ru1 Ru 0.000 0.000 0.500
Ru2 Ru 0.000 0.500 0.000
Ru3 Ru 0.360 0.601 0.371
Ru4 Ru 0.360 0.899 0.871
Ru5 Ru 0.640 0.101 0.129
Ru6 Ru 0.640 0.399 0.629
```

Main lines, by angle (5 to 70 degrees two-theta):
2theta	I_rel
17.33	21
29.24	65
31.46	100
34.55	63
35.34	96
38.29	24
40.47	33
43.64	23
44.82	34
60.65	24

***

[10]
Tm2Pa2Ru3: simulated powder XRD pattern (Cu Ka), based on DFT lattice parameters and positions (GGA-PBE).

Cell and atoms:
```
data_Tm2Pa2Ru3
_symmetry_space_group_name_H-M 'P 1'
_symmetry_Int_Tables_number 1
_symmetry_space_group_name_Hall 'P 1'
_cell_length_a 7.756
_cell_length_b 7.756
_cell_length_c 7.756
_cell_angle_alpha 148.35
_cell_angle_beta 140.59
_cell_angle_gamma 51.40
loop_
_atom_site_label
_atom_site_type_symbol
_atom_site_fract_x
_atom_site_fract_y
_atom_site_fract_z
Tm1 Tm 0.120 0.120 0.000
Tm2 Tm 0.880 0.880 0.000
Pa1 Pa 0.376 0.376 0.000
Pa2 Pa 0.624 0.624 0.000
Ru1 Ru 0.257 0.757 0.500
Ru2 Ru 0.500 0.000 0.500
Ru3 Ru 0.743 0.243 0.500
```

Main lines, by angle (5 to 70 degrees two-theta):
2theta	I_rel
18.11	9
25.49	13
27.11	22
34.29	32
37.56	100
42.76	18
52.37	9
55.92	16
63.57	22
64.10	10

***

[11]
Tm2PaRu2: simulated powder XRD pattern (Cu Ka), based on DFT lattice parameters and positions (GGA-PBE).

Cell and atoms:
```
data_Tm2PaRu2
_symmetry_space_group_name_H-M 'P 1'
_symmetry_Int_Tables_number 1
_symmetry_space_group_name_Hall 'P 1'
_cell_length_a 5.804
_cell_length_b 5.804
_cell_length_c 7.807
_cell_angle_alpha 100.09
_cell_angle_beta 100.09
_cell_angle_gamma 60.03
loop_
_atom_site_label
_atom_site_type_symbol
_atom_site_fract_x
_atom_site_fract_y
_atom_site_fract_z
Tm1 Tm 0.018 0.285 0.152
Tm2 Tm 0.285 0.018 0.652
Tm3 Tm 0.715 0.982 0.348
Tm4 Tm 0.982 0.715 0.848
Pa1 Pa 0.355 0.645 0.250
Pa2 Pa 0.645 0.355 0.750
Ru1 Ru 0.235 0.506 0.487
Ru2 Ru 0.494 0.765 0.013
Ru3 Ru 0.506 0.235 0.987
Ru4 Ru 0.765 0.494 0.513
```

Main lines, by angle (5 to 70 degrees two-theta):
2theta	I_rel
31.44	41
32.43	57
33.00	100
35.43	58
35.77	40
37.94	66
39.03	66
39.33	35
49.26	29
64.18	48

***

[12]
U2PaRu: simulated powder XRD pattern (Cu Ka), based on DFT lattice parameters and positions (GGA-PBE).

Cell and atoms:
```
data_U2PaRu
_symmetry_space_group_name_H-M 'P 1'
_symmetry_Int_Tables_number 1
_symmetry_space_group_name_Hall 'P 1'
_cell_length_a 9.418
_cell_length_b 9.418
_cell_length_c 9.418
_cell_angle_alpha 20.05
_cell_angle_beta 20.05
_cell_angle_gamma 20.05
loop_
_atom_site_label
_atom_site_type_symbol
_atom_site_fract_x
_atom_site_fract_y
_atom_site_fract_z
U1 U 0.241 0.241 0.241
U2 U 0.759 0.759 0.759
Pa1 Pa 0.000 0.000 0.000
Ru1 Ru 0.500 0.500 0.500
```

Main lines, by angle (5 to 70 degrees two-theta):
2theta	I_rel
29.03	10
34.13	100
35.53	9
39.05	18
41.12	55
53.82	9
56.10	26
62.91	11
66.16	7
67.32	15